Diffraction record for ErBi. The XRD peak list is simulated, not measured: it uses a cell relaxed with PBE and Cu Kα (weighted mean of Kα1 and Kα2).
Kinematic intensities with the Lorentz-polarization factor, no thermal factor.

Largest 6 diffraction maxima, by angle, 2θ from 10° to 90°:
2θ (°), d [Å], I_rel, h k l
28.41, 3.142, 100, 2 0 0
40.61, 2.222, 78, 2 2 0
50.30, 1.814, 28, 2 2 2
58.77, 1.571, 13, 4 0 0
66.55, 1.405, 37, 4 2 0
73.88, 1.283, 28, 4 2 2

a b c (Å): 6.2841 6.2841 6.2841
angles (deg): 90.00 90.00 90.00
Space group Fm-3m (No. 225)
Asymmetric unit:
Er: 0.0000 0.0000 0.0000 x4
Bi: 0.0000 0.0000 0.5000 x4